La2Zn3Cu12Rh: simulated powder diffractogram (λ = 1.5418 Å (Cu Kα)), based on a structure optimized by DFT (GGA-PBE).

Structure:
```
data_La2Zn3Cu12Rh
_symmetry_space_group_name_H-M 'R -3 m'
_symmetry_Int_Tables_number 166
_symmetry_space_group_name_Hall '-R 3 2"'
_cell_length_a 7.9879
_cell_length_b 7.9879
_cell_length_c 18.4380
_cell_angle_alpha 90.00
_cell_angle_beta 90.00
_cell_angle_gamma 120.00
loop_
_atom_site_label
_atom_site_fract_x
_atom_site_fract_y
_atom_site_fract_z
La1 0.0000 0.0000 0.1207
Zn1 0.0000 0.5000 0.0000
Cu1 0.0006 0.5003 0.6364
Cu2 0.0020 0.5010 0.1264
Rh1 0.0000 0.0000 0.5000
```

Principal peaks in the range 2θ from 15° to 90°, sorted by position:
26.21°, 3.400 Å, I = 24, hkl 0 2 1; 26.62°, 3.349 Å, I = 59, hkl 1 1 3; 27.41°, 3.254 Å, I = 26, hkl 0 1 5; 32.36°, 2.767 Å, I = 76, hkl 0 2 4; 41.84°, 2.159 Å, I = 17, hkl 3 0 3; 45.42°, 1.997 Å, I = 100, hkl 2 2 0; 47.40°, 1.918 Å, I = 79, hkl 2 0 8; 67.74°, 1.383 Å, I = 25, hkl 0 4 8; 83.93°, 1.153 Å, I = 17, hkl 6 0 0; 85.37°, 1.137 Å, I = 26, hkl 4 2 8

---

Cu8Tc: simulated powder diffractogram (λ = 1.5418 Å (Cu Kα)), based on a structure optimized by DFT (GGA-PBE).

Structure:
```
data_Cu8Tc
_symmetry_space_group_name_H-M 'I 4/m m m'
_symmetry_Int_Tables_number 139
_symmetry_space_group_name_Hall '-I 4 2'
_cell_length_a 7.804
_cell_length_b 7.804
_cell_length_c 3.655
_cell_angle_alpha 90.00
_cell_angle_beta 90.00
_cell_angle_gamma 90.00
loop_
_atom_site_label
_atom_site_fract_x
_atom_site_fract_y
_atom_site_fract_z
Cu1 0.000 0.335 0.000
Cu2 0.169 0.169 0.500
Tc1 0.000 0.000 0.000
```

Principal peaks in the range 2θ from 15° to 90°, sorted by position:
16.06°, 5.518 Å, I = 1, hkl 1 1 0; 26.94°, 3.310 Å, I = 1, hkl 1 0 1; 35.57°, 2.524 Å, I = 1, hkl 2 1 1; 42.66°, 2.119 Å, I = 100, hkl 3 0 1; 49.56°, 1.839 Å, I = 32, hkl 3 3 0; 49.90°, 1.828 Å, I = 15, hkl 0 0 2; 72.70°, 1.301 Å, I = 9, hkl 6 0 0; 72.97°, 1.296 Å, I = 18, hkl 3 3 2; 88.13°, 1.109 Å, I = 22, hkl 6 3 1; 88.65°, 1.103 Å, I = 11, hkl 3 0 3

---

HoScGe2: simulated powder diffractogram (λ = 1.5418 Å (Cu Kα)), based on a structure optimized by DFT (GGA-PBE).

Structure:
```
data_HoScGe2
_symmetry_space_group_name_H-M 'P m c 21'
_symmetry_Int_Tables_number 26
_cell_length_a 3.866
_cell_length_b 5.609
_cell_length_c 7.727
_cell_angle_alpha 90.00
_cell_angle_beta 90.00
_cell_angle_gamma 90.00
loop_
_symmetry_equiv_pos_as_xyz
'x,y,z'
'-x,-y,z+1/2'
'-x,y,z'
'x,-y,z+1/2'
loop_
_atom_site_label
_atom_site_fract_x
_atom_site_fract_y
_atom_site_fract_z
Ho1 0.000 0.130 0.000
Sc1 0.500 0.371 0.637
Ge1 0.000 0.400 0.362
Ge2 0.500 0.103 0.277
```

Principal peaks in the range 2θ from 15° to 90°, sorted by position:
19.56°, 4.539 Å, I = 35, hkl 0 1 1; 23.01°, 3.865 Å, I = 40, hkl 1 0 0; 30.37°, 2.943 Å, I = 54, hkl 1 1 1; 32.77°, 2.733 Å, I = 93, hkl 1 0 2; 34.01°, 2.636 Å, I = 74, hkl 0 2 1; 36.58°, 2.457 Å, I = 96, hkl 1 1 2; 38.46°, 2.341 Å, I = 43, hkl 0 1 3; 41.46°, 2.178 Å, I = 100, hkl 1 2 1; 47.01°, 1.933 Å, I = 40, hkl 2 0 0; 49.93°, 1.827 Å, I = 31, hkl 0 1 4

---

Ba3P2S8: simulated powder diffractogram (λ = 1.5418 Å (Cu Kα)), based on a structure optimized by DFT (GGA-PBE).

Structure:
```
data_Ba3P2S8
_symmetry_space_group_name_H-M 'P -3 m 1'
_symmetry_Int_Tables_number 164
_symmetry_space_group_name_Hall '-P 3 2"'
_cell_length_a 6.7297
_cell_length_b 6.7297
_cell_length_c 8.7853
_cell_angle_alpha 90.00
_cell_angle_beta 90.00
_cell_angle_gamma 120.00
loop_
_atom_site_label
_atom_site_fract_x
_atom_site_fract_y
_atom_site_fract_z
Ba1 0.0000 0.0000 0.0000
Ba2 0.3333 0.6667 0.3681
P1 0.3333 0.6667 0.7834
S1 0.1705 0.3410 0.6926
S2 0.3333 0.6667 0.0129
```

Principal peaks in the range 2θ from 15° to 90°, sorted by position:
18.27°, 4.857 Å, I = 71, hkl 0 1 1; 25.39°, 3.508 Å, I = 56, hkl 1 0 2; 26.49°, 3.365 Å, I = 100, hkl 1 1 0; 30.53°, 2.928 Å, I = 33, hkl 0 0 3; 32.37°, 2.766 Å, I = 71, hkl 2 0 1; 34.27°, 2.617 Å, I = 25, hkl 0 1 3; 37.02°, 2.428 Å, I = 66, hkl 0 2 2; 40.85°, 2.209 Å, I = 28, hkl 1 1 3; 54.55°, 1.682 Å, I = 35, hkl 2 2 0; 59.37°, 1.557 Å, I = 29, hkl 1 1 5

---

CsBr3O: simulated powder diffractogram (λ = 1.5418 Å (Cu Kα)), based on a structure optimized by DFT (GGA-PBE).

Structure:
```
data_CsBr3O
_symmetry_space_group_name_H-M 'I 4/m m m'
_symmetry_Int_Tables_number 139
_symmetry_space_group_name_Hall '-I 4 2'
_cell_length_a 6.972
_cell_length_b 6.972
_cell_length_c 12.296
_cell_angle_alpha 90.00
_cell_angle_beta 90.00
_cell_angle_gamma 90.00
loop_
_atom_site_label
_atom_site_fract_x
_atom_site_fract_y
_atom_site_fract_z
Cs1 0.000 0.500 0.250
Br1 0.000 0.000 0.186
Br2 0.231 0.231 0.500
O1 0.000 0.000 0.000
O2 0.000 0.000 0.500
```

Principal peaks in the range 2θ from 15° to 90°, sorted by position:
23.12°, 3.846 Å, I = 15, hkl 1 1 2; 25.20°, 3.533 Å, I = 13, hkl 1 0 3; 29.05°, 3.074 Å, I = 23, hkl 0 0 4; 29.45°, 3.033 Å, I = 100, hkl 2 0 2; 36.45°, 2.465 Å, I = 38, hkl 2 2 0; 47.27°, 1.923 Å, I = 21, hkl 2 2 4; 48.08°, 1.892 Å, I = 10, hkl 1 1 6; 52.50°, 1.743 Å, I = 12, hkl 4 0 0; 61.12°, 1.516 Å, I = 9, hkl 4 0 4; 61.35°, 1.511 Å, I = 22, hkl 4 2 2

---

Pr2S3: simulated powder diffractogram (λ = 1.5418 Å (Cu Kα)), based on a structure optimized by DFT (GGA-PBE).

Structure:
```
data_Pr2S3
_symmetry_space_group_name_H-M 'I -4 2 d'
_symmetry_Int_Tables_number 122
_symmetry_space_group_name_Hall 'I -4 2bw'
_cell_length_a 8.666
_cell_length_b 8.666
_cell_length_c 25.907
_cell_angle_alpha 90.00
_cell_angle_beta 90.00
_cell_angle_gamma 90.00
loop_
_atom_site_label
_atom_site_fract_x
_atom_site_fract_y
_atom_site_fract_z
Pr1 0.000 0.000 0.165
Pr2 0.120 0.750 0.625
Pr3 0.139 0.741 0.961
S1 0.072 0.676 0.183
S2 0.074 0.681 0.855
S3 0.081 0.669 0.516
```

Principal peaks in the range 2θ from 15° to 90°, sorted by position:
25.20°, 3.534 Å, I = 100, hkl 1 1 6; 32.68°, 2.740 Å, I = 74, hkl 3 1 0; 32.78°, 2.732 Å, I = 31, hkl 1 0 9; 38.93°, 2.313 Å, I = 67, hkl 2 1 9; 46.91°, 1.937 Å, I = 27, hkl 4 0 6; 49.39°, 1.845 Å, I = 26, hkl 3 2 9; 53.95°, 1.699 Å, I = 14, hkl 4 3 3; 54.05°, 1.697 Å, I = 16, hkl 3 1 12; 66.52°, 1.406 Å, I = 18, hkl 6 1 3; 81.67°, 1.179 Å, I = 16, hkl 7 2 3

---

Li2ZrZn10: simulated powder diffractogram (λ = 1.5418 Å (Cu Kα)), based on a structure optimized by DFT (GGA-PBE).

Structure:
```
data_Li2ZrZn10
_symmetry_space_group_name_H-M 'F m m m'
_symmetry_Int_Tables_number 69
_symmetry_space_group_name_Hall '-F 2 2'
_cell_length_a 5.168
_cell_length_b 12.088
_cell_length_c 12.503
_cell_angle_alpha 90.00
_cell_angle_beta 90.00
_cell_angle_gamma 90.00
loop_
_atom_site_label
_atom_site_fract_x
_atom_site_fract_y
_atom_site_fract_z
Li1 0.250 0.000 0.250
Zr1 0.000 0.000 0.000
Zn1 0.000 0.105 0.391
Zn2 0.000 0.173 0.176
Zn3 0.250 0.250 0.000
```

Principal peaks in the range 2θ from 15° to 90°, sorted by position:
32.92°, 2.721 Å, I = 31, hkl 0 4 2; 34.72°, 2.584 Å, I = 63, hkl 2 0 0; 35.53°, 2.527 Å, I = 92, hkl 1 3 3; 40.62°, 2.221 Å, I = 78, hkl 2 2 2; 40.78°, 2.213 Å, I = 100, hkl 1 1 5; 41.57°, 2.173 Å, I = 73, hkl 0 4 4; 41.88°, 2.157 Å, I = 88, hkl 1 5 1; 45.55°, 1.992 Å, I = 36, hkl 2 0 4; 46.22°, 1.964 Å, I = 56, hkl 2 4 0; 75.20°, 1.263 Å, I = 36, hkl 2 6 6

---

Cs3Cd5: simulated powder diffractogram (λ = 1.5418 Å (Cu Kα)), based on a structure optimized by DFT (GGA-PBE).

Structure:
```
data_Cs3Cd5
_symmetry_space_group_name_H-M 'C 1 2/m 1'
_symmetry_Int_Tables_number 12
_cell_length_a 7.671
_cell_length_b 19.610
_cell_length_c 9.578
_cell_angle_alpha 90.00
_cell_angle_beta 99.30
_cell_angle_gamma 90.00
loop_
_symmetry_equiv_pos_as_xyz
'x,y,z'
'-x,-y,-z'
'-x,y,-z'
'x,-y,z'
'x+1/2,y+1/2,z'
'-x+1/2,-y+1/2,-z'
'-x+1/2,y+1/2,-z'
'x+1/2,-y+1/2,z'
loop_
_atom_site_label
_atom_site_fract_x
_atom_site_fract_y
_atom_site_fract_z
Cs1 0.000 0.162 0.000
Cs2 0.000 0.221 0.500
Cs3 0.138 0.000 0.705
Cd1 0.019 0.350 0.157
Cd2 0.130 0.500 0.897
Cd3 0.147 0.420 0.621
```

Principal peaks in the range 2θ from 15° to 90°, sorted by position:
23.50°, 3.785 Å, I = 42, hkl 2 0 0; 25.22°, 3.531 Å, I = 44, hkl 2 2 0; 25.57°, 3.483 Å, I = 56, hkl 1 5 0; 26.61°, 3.349 Å, I = 55, hkl 1 5 -1; 26.75°, 3.333 Å, I = 43, hkl 2 0 1; 27.44°, 3.250 Å, I = 100, hkl 1 3 2; 28.91°, 3.089 Å, I = 84, hkl 0 6 1; 29.24°, 3.054 Å, I = 66, hkl 1 1 -3; 30.12°, 2.967 Å, I = 61, hkl 2 4 -1; 43.59°, 2.076 Å, I = 46, hkl 1 7 -3